Li2Cu2Au7: calculated XRD peak list (Cu Ka), based on the PBE geometry in Alexandria.
Neutral-atom scattering factors, no anomalous dispersion.

Crystal structure
```
data_Li2Cu2Au7
_space_group_name_H-M_alt 'P 1'
_space_group_IT_number 1
_space_group_name_Hall 'P 1'
_cell_length_a 7.306
_cell_length_b 7.306
_cell_length_c 7.306
_cell_angle_alpha 145.77
_cell_angle_beta 67.52
_cell_angle_gamma 123.75
loop_
_atom_site_label
_atom_site_type_symbol
_atom_site_fract_x
_atom_site_fract_y
_atom_site_fract_z
Li1 Li 0.206 0.000 0.206
Li2 Li 0.794 0.000 0.794
Cu1 Cu 0.490 0.990 0.500
Cu2 Cu 0.778 0.778 0.000
Au1 Au 0.058 0.708 0.350
Au2 Au 0.162 0.162 0.000
Au3 Au 0.346 0.495 0.851
Au4 Au 0.359 0.708 0.650
Au5 Au 0.644 0.495 0.149
Au6 Au 0.654 0.290 0.364
Au7 Au 0.926 0.290 0.636
```

Principal peaks in the range 2θ from 10° to 80°, by angle:
3.648 Å, 2θ 24.40, intensity 20; 3.127 Å, 2θ 28.54, intensity 23; 3.037 Å, 2θ 29.41, intensity 17; 2.948 Å, 2θ 30.32, intensity 19; 2.625 Å, 2θ 34.16, intensity 22; 2.334 Å, 2θ 38.57, intensity 35; 2.256 Å, 2θ 39.96, intensity 26; 2.240 Å, 2θ 40.27, intensity 100; 2.150 Å, 2θ 42.02, intensity 34; 2.025 Å, 2θ 44.76, intensity 16; 1.557 Å, 2θ 59.37, intensity 16; 1.258 Å, 2θ 75.58, intensity 16